# 1
Computed PXRD pattern of Ti2FeB6Os6Rh3 for Cu Kα, 1.54184 Å, from a cell relaxed with GGA-PBE.
Peak positions follow from Bragg's law for the DFT cell and can differ from measured ones.

Largest 12 diffraction maxima, by intensity, 2θ = 15–90°:
2θ/deg	I (rel.)
42.90	100
40.83	56
31.32	33
20.09	22
52.35	22
30.91	21
75.23	19
75.82	18
29.01	16
42.56	16
35.17	14
60.12	13

Cell and atoms:
Cell: 3.0783 8.8454 8.8454 Å, 120.13 90.00 90.00°
Fractional positions:
Ti1 0.0000 0.2075 0.7925
Ti2 0.0000 0.7925 0.2075
Fe1 0.0000 0.6198 0.6198
B1 0.0000 0.5408 0.8736
B2 0.0000 0.8736 0.5408
B3 0.5000 0.2070 0.9957
B4 0.5000 0.2116 0.2116
B5 0.5000 0.4336 0.4336
B6 0.5000 0.9957 0.2070
Os1 0.5000 0.0251 0.4905
Os2 0.5000 0.3921 0.6738
Os3 0.5000 0.4905 0.0251
Os4 0.5000 0.6738 0.3921
Os5 0.5000 0.7426 0.9258
Os6 0.5000 0.9258 0.7426
Rh1 0.0000 0.0328 0.0328
Rh2 0.0000 0.2068 0.3822
Rh3 0.0000 0.3822 0.2068

# 2
Computed PXRD pattern of Fe6B2P for Cu Kα, 1.54184 Å, from a cell relaxed with GGA-PBE.
Peak positions follow from Bragg's law for the DFT cell and can differ from measured ones.

Largest 12 diffraction maxima, by intensity, 2θ = 15–90°:
2θ/deg	I (rel.)
45.01	100
48.57	56
47.41	30
42.91	30
38.33	28
41.22	25
49.87	25
36.13	25
89.11	18
82.64	15
55.31	15
55.89	14

Cell and atoms:
Cell: 6.0732 6.0732 6.0732 Å, 113.68 111.12 103.78°
Fractional positions:
Fe1 0.0438 0.2419 0.8018
Fe2 0.1870 0.2880 0.4750
Fe3 0.1870 0.7120 0.8991
Fe4 0.3258 0.0268 0.7010
Fe5 0.3258 0.6249 0.2990
Fe6 0.4401 0.2419 0.1982
Fe7 0.5599 0.7581 0.8018
Fe8 0.6742 0.3751 0.7010
Fe9 0.6742 0.9732 0.2990
Fe10 0.8130 0.2880 0.1009
Fe11 0.8130 0.7120 0.5250
Fe12 0.9562 0.7581 0.1982
B1 0.1205 0.6205 0.5000
B2 0.3594 0.0000 0.3594
B3 0.6406 0.0000 0.6406
B4 0.8795 0.3795 0.5000
P1 0.0000 0.0000 0.0000
P2 0.5000 0.5000 0.0000

# 3
Computed PXRD pattern of Pa2FeB3 for Cu Kα, 1.54184 Å, from a cell relaxed with GGA-PBE.
Peak positions follow from Bragg's law for the DFT cell and can differ from measured ones.

Largest 12 diffraction maxima, by intensity, 2θ = 15–90°:
2θ/deg	I (rel.)
38.08	100
29.34	69
38.19	49
23.74	44
29.47	35
57.80	30
52.19	24
66.28	20
58.10	18
74.07	16
48.59	14
83.70	13

Cell and atoms:
Cell: 7.1273 7.0104 5.1416 Å, 69.89 67.47 42.64°
Fractional positions:
Pa1 0.2317 0.7683 0.2317
Pa2 0.2500 0.2500 0.2500
Pa3 0.7500 0.7500 0.7500
Pa4 0.7683 0.2317 0.7683
Fe1 0.1696 0.1696 0.8304
Fe2 0.8304 0.8304 0.1696
B1 0.2010 0.6476 0.7990
B2 0.3521 0.3521 0.6479
B3 0.3524 0.7990 0.6476
B4 0.6476 0.2010 0.3524
B5 0.6479 0.6479 0.3521
B6 0.7990 0.3524 0.2010

# 4
Computed PXRD pattern of PaFe3B3 for Cu Kα, 1.54184 Å, from a cell relaxed with GGA-PBE.
Peak positions follow from Bragg's law for the DFT cell and can differ from measured ones.

Largest 12 diffraction maxima, by intensity, 2θ = 15–90°:
2θ/deg	I (rel.)
40.32	100
22.96	59
63.53	52
32.69	44
36.68	16
52.84	15
77.99	15
82.59	13
68.50	10
46.90	10
73.30	9
87.15	4

Cell and atoms:
Cell: 5.4790 5.4790 5.4790 Å, 90.00 90.00 90.00°
Fractional positions:
Pa1 0.0000 0.0000 0.0000
Pa2 0.5000 0.5000 0.5000
Fe1 0.0000 0.2500 0.5000
Fe2 0.0000 0.7500 0.5000
Fe3 0.2500 0.5000 0.0000
Fe4 0.5000 0.0000 0.2500
Fe5 0.5000 0.0000 0.7500
Fe6 0.7500 0.5000 0.0000
B1 0.0000 0.5000 0.2500
B2 0.0000 0.5000 0.7500
B3 0.2500 0.0000 0.5000
B4 0.5000 0.2500 0.0000
B5 0.5000 0.7500 0.0000
B6 0.7500 0.0000 0.5000

# 5
Computed PXRD pattern of Pa2Fe12B7 for Cu Kα, 1.54184 Å, from a cell relaxed with GGA-PBE.
Peak positions follow from Bragg's law for the DFT cell and can differ from measured ones.

Largest 12 diffraction maxima, by intensity, 2θ = 15–90°:
2θ/deg	I (rel.)
42.23	100
30.45	30
30.83	29
19.80	26
54.12	17
40.23	16
34.65	15
70.94	13
59.74	13
41.94	12
84.27	10
59.09	9

Cell and atoms:
Cell: 8.9674 8.9674 3.1267 Å, 90.00 90.00 120.00°
Fractional positions:
Pa1 0.0000 0.0000 0.0000
Pa2 0.3333 0.6667 0.5000
Fe1 0.0505 0.2814 0.5000
Fe2 0.0991 0.7048 0.0000
Fe3 0.2309 0.9495 0.5000
Fe4 0.2952 0.3943 0.0000
Fe5 0.3962 0.1833 0.0000
Fe6 0.5423 0.4321 0.5000
Fe7 0.5679 0.1102 0.5000
Fe8 0.6057 0.9009 0.0000
Fe9 0.7186 0.7691 0.5000
Fe10 0.7872 0.6038 0.0000
Fe11 0.8167 0.2128 0.0000
Fe12 0.8898 0.4577 0.5000
B1 0.0604 0.4424 0.0000
B2 0.2673 0.2268 0.5000
B3 0.3821 0.9396 0.0000
B4 0.5576 0.6179 0.0000
B5 0.6667 0.3333 0.0000
B6 0.7732 0.0404 0.5000
B7 0.9596 0.7327 0.5000

# 6
Computed PXRD pattern of FeB2Pd for Cu Kα, 1.54184 Å, from a cell relaxed with GGA-PBE.
Peak positions follow from Bragg's law for the DFT cell and can differ from measured ones.

Largest 12 diffraction maxima, by intensity, 2θ = 15–90°:
2θ/deg	I (rel.)
33.87	100
39.37	27
56.76	25
67.88	24
39.20	14
67.65	12
56.89	12
21.69	11
71.26	9
45.39	4
35.24	4
84.69	4

Cell and atoms:
Cell: 4.5778 4.5778 9.1932 Å, 90.00 90.00 90.00°
Fractional positions:
Fe1 0.0000 0.0000 0.0000
Fe2 0.0000 0.5000 0.2500
Fe3 0.5000 0.0000 0.7500
Fe4 0.5000 0.5000 0.5000
B1 0.2139 0.2500 0.1250
B2 0.2500 0.7139 0.3750
B3 0.2500 0.7861 0.8750
B4 0.2861 0.2500 0.6250
B5 0.7139 0.7500 0.6250
B6 0.7500 0.2139 0.8750
B7 0.7500 0.2861 0.3750
B8 0.7861 0.7500 0.1250
Pd1 0.0000 0.0000 0.5000
Pd2 0.0000 0.5000 0.7500
Pd3 0.5000 0.0000 0.2500
Pd4 0.5000 0.5000 0.0000